Structure and simulated powder diffraction line list of La5Ta3 (a structure optimized by DFT (GGA-PBE); CuKα).
Kinematic intensities with the Lorentz-polarization factor, no thermal factor.

Top 10 peaks for 15 to 90 degrees two-theta, by intensity:
32.37°, I 100.0, hkl 2 2 1
38.90°, I 27.2, hkl 0 0 2
34.72°, I 26.4, hkl 0 4 0
53.11°, I 22.1, hkl 0 4 2
60.75°, I 16.3, hkl 2 6 1
66.35°, I 15.6, hkl 2 2 3
36.04°, I 10.5, hkl 3 1 1
87.41°, I 7.5, hkl 2 6 3
67.77°, I 6.5, hkl 4 4 2
86.20°, I 5.5, hkl 0 8 2

```
data_La5Ta3
_chemical_formula_sum 'La10 Ta6'
_cell_length_a 9.256
_cell_length_b 10.336
_cell_length_c 4.632
_cell_angle_alpha 90.00
_cell_angle_beta 90.00
_cell_angle_gamma 90.00
_symmetry_space_group_name_H-M 'P 1'
_symmetry_Int_Tables_number 1
loop_
_symmetry_equiv_pos_as_xyz
'x,y,z'
loop_
_atom_site_label
_atom_site_type_symbol
_atom_site_fract_x
_atom_site_fract_y
_atom_site_fract_z
La1 La 0.000 0.000 0.000
La2 La 0.000 0.244 0.500
La3 La 0.000 0.756 0.500
La4 La 0.250 0.250 0.000
La5 La 0.250 0.750 0.000
La6 La 0.500 0.256 0.500
La7 La 0.500 0.500 0.000
La8 La 0.500 0.744 0.500
La9 La 0.750 0.250 0.000
La10 La 0.750 0.750 0.000
Ta1 Ta 0.000 0.500 0.000
Ta2 Ta 0.177 0.500 0.500
Ta3 Ta 0.323 0.000 0.500
Ta4 Ta 0.500 0.000 0.000
Ta5 Ta 0.677 0.000 0.500
Ta6 Ta 0.823 0.500 0.500
```